This entry pairs a crystal structure of PdAu with its simulated X-ray diffraction stick pattern. Radiation: Cu Kα, 1.54184 Å. Structure: a structure optimized by DFT (GGA-PBE).
Kinematic intensities with the Lorentz-polarization factor, no thermal factor.

Most intense lines, 10° ≤ 2θ ≤ 80°, by angle:
- 36.25 deg, I = 29, hkl 1 0 0
- 38.12 deg, I = 27, hkl 0 0 2
- 41.14 deg, I = 100, hkl 1 0 1
- 53.62 deg, I = 19, hkl 1 0 2
- 70.95 deg, I = 20, hkl 1 0 3
- 78.12 deg, I = 20, hkl 1 1 2

Structural model:
Cell lengths 2.8611, 2.8611, 4.7212 Å; angles 90.00, 90.00, 120.00 degrees
Space group P-6m2 (No. 187)
Asymmetric unit:
Pd 0.0000 0.0000 0.0000
Au 0.3333 0.6667 0.5000


This entry pairs a crystal structure of Pd7Au5 with its simulated X-ray diffraction stick pattern. Radiation: Cu Kα, 1.54184 Å. Structure: a structure optimized by DFT (GGA-PBE).
Kinematic intensities with the Lorentz-polarization factor, no thermal factor.

Most intense lines, 10° ≤ 2θ ≤ 80°, by angle:
- 37.70 deg, I = 62, hkl 0 2 0
- 40.89 deg, I = 100, hkl 3 1 1
- 54.38 deg, I = 22, hkl 0 2 4
- 70.21 deg, I = 30, hkl 3 3 1
- 70.26 deg, I = 10, hkl 3 3 -3
- 76.53 deg, I = 16, hkl 6 0 2

Structural model:
Cell lengths 8.754, 4.770, 9.981 Å; angles 90.00, 106.93, 90.00 degrees
Space group C2/m (No. 12)
Asymmetric unit:
Pd 0.000 0.000 0.000
Pd 0.082 0.000 0.748
Pd 0.083 0.500 0.251
Pd 0.167 0.000 0.502
Au 0.000 0.500 0.500
Au 0.166 0.500 0.001
Au 0.248 0.000 0.252


This entry pairs a crystal structure of Pd3Au7 with its simulated X-ray diffraction stick pattern. Radiation: Cu Kα, 1.54184 Å. Structure: a structure optimized by DFT (GGA-PBE).
Kinematic intensities with the Lorentz-polarization factor, no thermal factor.

Most intense lines, 10° ≤ 2θ ≤ 80°, by angle:
- 38.07 deg, I = 100, hkl 5 1 0
- 43.66 deg, I = 17, hkl 0 2 0
- 44.17 deg, I = 17, hkl 6 0 -2
- 44.90 deg, I = 16, hkl 4 0 2
- 76.46 deg, I = 13, hkl 5 3 0
- 77.18 deg, I = 13, hkl 11 1 -2

Structural model:
Cell lengths 14.717, 4.146, 5.754 Å; angles 90.00, 102.17, 90.00 degrees
Space group C2/m (No. 12)
Asymmetric unit:
Pd 0.000 0.000 0.000
Pd 0.200 0.000 0.603
Au 0.000 0.000 0.500
Au 0.100 0.500 0.803
Au 0.102 0.500 0.305
Au 0.200 0.000 0.106


This entry pairs a crystal structure of Pd2Au5 with its simulated X-ray diffraction stick pattern. Radiation: Cu Kα, 1.54184 Å. Structure: a structure optimized by DFT (GGA-PBE).
Kinematic intensities with the Lorentz-polarization factor, no thermal factor.

Most intense lines, 10° ≤ 2θ ≤ 80°, by angle:
- 34.63 deg, I = 42, hkl 1 1 2
- 37.70 deg, I = 40, hkl 1 5 0
- 38.54 deg, I = 99, hkl 2 4 0
- 40.98 deg, I = 100, hkl 2 0 2
- 42.46 deg, I = 93, hkl 0 4 2
- 63.52 deg, I = 38, hkl 3 5 2

Structural model:
Cell lengths 6.885, 12.719, 5.731 Å; angles 90.00, 90.00, 90.00 degrees
Space group Ibam (No. 72)
Asymmetric unit:
Pd 0.212 0.115 0.000
Au 0.000 0.270 0.250
Au 0.000 0.500 0.250
Au 0.193 0.105 0.500


This entry pairs a crystal structure of Pd5Au6 with its simulated X-ray diffraction stick pattern. Radiation: Cu Kα, 1.54184 Å. Structure: a structure optimized by DFT (GGA-PBE).
Kinematic intensities with the Lorentz-polarization factor, no thermal factor.

Most intense lines, 10° ≤ 2θ ≤ 80°, by angle:
- 27.89 deg, I = 6, hkl 0 0 2
- 28.00 deg, I = 12, hkl 1 3 0
- 39.96 deg, I = 100, hkl 2 0 0
- 57.87 deg, I = 11, hkl 2 6 0
- 72.47 deg, I = 11, hkl 2 0 4
- 72.63 deg, I = 22, hkl 3 3 2

Structural model:
Cell lengths 4.506, 13.522, 6.397 Å; angles 90.00, 90.00, 90.00 degrees
Space group Cmmm (No. 65)
Asymmetric unit:
Pd 0.000 0.000 0.000
Pd 0.000 0.328 0.500
Pd 0.000 0.333 0.000
Au 0.000 0.159 0.257
Au 0.000 0.500 0.267


This entry pairs a crystal structure of Pd5Au2 with its simulated X-ray diffraction stick pattern. Radiation: Cu Kα, 1.54184 Å. Structure: a structure optimized by DFT (GGA-PBE).
Kinematic intensities with the Lorentz-polarization factor, no thermal factor.

Most intense lines, 10° ≤ 2θ ≤ 80°, by angle:
- 36.77 deg, I = 25, hkl 0 2 0
- 38.35 deg, I = 28, hkl 4 0 2
- 41.65 deg, I = 100, hkl 1 1 -3
- 54.17 deg, I = 15, hkl 4 2 2
- 71.60 deg, I = 20, hkl 3 1 5
- 79.24 deg, I = 13, hkl 1 3 4

Structural model:
Cell lengths 12.654, 4.882, 7.348 Å; angles 90.00, 92.40, 90.00 degrees
Space group C2/c (No. 15)
Asymmetric unit:
Pd 0.000 0.166 0.250
Pd 0.146 0.168 0.965
Pd 0.215 0.330 0.320
Au 0.073 0.330 0.606